# PrDy2In3AgPt2
Theoretical powder diffractogram, Cu Ka. Input: a PBE-relaxed structure.

Crystal structure
Unit cell a=3.835 b=7.901 c=7.901 alpha=120.29 beta=90.00 gamma=90.00
Fractional coordinates of all 9 atoms:
Pr 0.000 0.000 0.000
Dy 0.000 0.410 0.822
Dy 0.000 0.822 0.410
In 0.500 0.145 0.414
In 0.500 0.414 0.145
In 0.500 0.675 0.675
Ag 0.000 0.413 0.413
Pt 0.500 0.080 0.738
Pt 0.500 0.738 0.080

Main lines, sorted by position (2θ from 15° to 90°):
2θ/deg  I_rel
32.56  100
34.69  30
35.18  97
39.63  35
47.41  24
64.09  24

# LaPrNd2Zn12Ge6
Theoretical powder diffractogram, Cu Ka. Input: a PBE-relaxed structure.

Crystal structure
Unit cell a=7.686 b=4.122 c=13.315 alpha=90.00 beta=90.00 gamma=90.00
Fractional coordinates of all 22 atoms:
La 0.000 0.000 0.000
Pr 0.000 0.000 0.334
Nd 0.500 0.000 0.500
Nd 0.500 0.000 0.833
Zn 0.145 0.500 0.522
Zn 0.146 0.500 0.811
Zn 0.189 0.000 0.667
Zn 0.211 0.500 0.167
Zn 0.406 0.000 0.261
Zn 0.408 0.000 0.072
Zn 0.644 0.500 0.022
Zn 0.645 0.500 0.312
Zn 0.689 0.000 0.168
Zn 0.710 0.500 0.666
Zn 0.904 0.000 0.760
Zn 0.905 0.000 0.572
Ge 0.310 0.500 0.358
Ge 0.311 0.500 0.976
Ge 0.382 0.500 0.667
Ge 0.809 0.500 0.477
Ge 0.809 0.500 0.856
Ge 0.880 0.500 0.167

Main lines, sorted by position (2θ from 15° to 90°):
2θ/deg  I_rel
31.83  100
35.68  21
40.66  33
42.07  52
43.93  24
68.48  21

# Ni17Ge
Theoretical powder diffractogram, Cu Ka. Input: a PBE-relaxed structure.

Crystal structure
Unit cell a=4.948 b=4.948 c=31.168 alpha=90.00 beta=90.00 gamma=120.00
Fractional coordinates of all 36 atoms:
Ni 0.000 0.000 0.000
Ni 0.000 0.000 0.194
Ni 0.002 0.501 0.805
Ni 0.166 0.332 0.934
Ni 0.166 0.333 0.130
Ni 0.166 0.834 0.130
Ni 0.166 0.834 0.934
Ni 0.167 0.335 0.324
Ni 0.167 0.833 0.324
Ni 0.331 0.165 0.260
Ni 0.333 0.167 0.065
Ni 0.333 0.667 0.065
Ni 0.333 0.667 0.260
Ni 0.333 0.667 0.870
Ni 0.337 0.169 0.870
Ni 0.499 0.501 0.805
Ni 0.499 0.998 0.805
Ni 0.500 0.001 0.000
Ni 0.500 0.500 0.000
Ni 0.501 0.001 0.194
Ni 0.501 0.499 0.194
Ni 0.665 0.833 0.324
Ni 0.667 0.333 0.130
Ni 0.667 0.333 0.935
Ni 0.667 0.834 0.130
Ni 0.668 0.834 0.934
Ni 0.831 0.169 0.870
Ni 0.831 0.663 0.870
Ni 0.833 0.167 0.065
Ni 0.833 0.667 0.065
Ni 0.835 0.165 0.260
Ni 0.835 0.669 0.260
Ni 0.999 0.499 0.194
Ni 0.999 0.500 0.000
Ge 0.000 0.000 0.802
Ge 0.667 0.333 0.328

Main lines, sorted by position (2θ from 15° to 90°):
2θ/deg  I_rel
43.56  31
44.73  100
45.81  38
51.78  60
53.63  30
77.13  28

# NdSm2Pt9
Theoretical powder diffractogram, Cu Ka. Input: a PBE-relaxed structure.

Crystal structure
Unit cell a=9.428 b=9.428 c=9.428 alpha=33.52 beta=33.52 gamma=33.52
Fractional coordinates of all 12 atoms:
Nd 0.000 0.000 0.000
Sm 0.139 0.139 0.139
Sm 0.861 0.861 0.861
Pt 0.081 0.587 0.587
Pt 0.333 0.333 0.333
Pt 0.413 0.413 0.919
Pt 0.413 0.919 0.413
Pt 0.500 0.500 0.500
Pt 0.587 0.081 0.587
Pt 0.587 0.587 0.081
Pt 0.667 0.667 0.667
Pt 0.919 0.413 0.413

Main lines, sorted by position (2θ from 15° to 90°):
2θ/deg  I_rel
32.94  30
38.83  100
40.61  37
41.94  58
62.78  28
69.11  25

# Dy4Er3Te2Pd2
Theoretical powder diffractogram, Cu Ka. Input: a PBE-relaxed structure.

Crystal structure
Unit cell a=9.428 b=9.428 c=9.428 alpha=155.93 beta=66.87 gamma=118.67
Fractional coordinates of all 11 atoms:
Dy 0.144 0.000 0.144
Dy 0.458 0.640 0.818
Dy 0.822 0.640 0.182
Dy 0.856 0.000 0.856
Er 0.219 0.848 0.371
Er 0.477 0.848 0.629
Er 0.764 0.264 0.500
Te 0.103 0.603 0.500
Te 0.498 0.498 0.000
Pd 0.074 0.335 0.739
Pd 0.596 0.335 0.261

Main lines, sorted by position (2θ from 15° to 90°):
2θ/deg  I_rel
28.39  31
29.89  67
32.74  60
33.54  100
34.05  46
46.17  34

# Hf3Ni2As4Pd2
Theoretical powder diffractogram, Cu Ka. Input: a PBE-relaxed structure.

Crystal structure
Unit cell a=6.495 b=3.873 c=7.546 alpha=90.00 beta=90.02 gamma=90.00
Fractional coordinates of all 11 atoms:
Hf 0.000 0.000 0.000
Hf 0.075 0.500 0.629
Hf 0.574 0.500 0.488
Ni 0.692 0.500 0.864
Ni 0.891 0.000 0.373
As 0.291 0.000 0.430
As 0.301 0.500 0.948
As 0.757 0.500 0.179
As 0.787 0.000 0.685
Pd 0.152 0.500 0.254
Pd 0.396 0.000 0.757

Main lines, sorted by position (2θ from 15° to 90°):
2θ/deg  I_rel
35.99  79
36.10  49
38.08  100
38.38  40
45.19  36
46.92  42

# KNbCuTeS2
Theoretical powder diffractogram, Cu Ka. Input: a PBE-relaxed structure.

Crystal structure
Unit cell a=8.129 b=8.129 c=10.090 alpha=90.00 beta=90.00 gamma=154.09
Fractional coordinates of all 12 atoms:
K 0.217 0.783 0.750
K 0.783 0.217 0.250
Nb 0.000 0.000 0.000
Nb 0.000 0.000 0.500
Cu 0.475 0.525 0.250
Cu 0.525 0.475 0.750
Te 0.091 0.909 0.250
Te 0.909 0.091 0.750
S 0.397 0.603 0.063
S 0.397 0.603 0.437
S 0.603 0.397 0.563
S 0.603 0.397 0.937

Main lines, sorted by position (2θ from 15° to 90°):
2θ/deg  I_rel
31.10  100
34.80  77
35.59  42
41.80  73
50.82  35
54.83  25

# GeBPt
Theoretical powder diffractogram, Cu Ka. Input: a PBE-relaxed structure.

Crystal structure
Unit cell a=3.312 b=4.512 c=6.250 alpha=90.00 beta=90.00 gamma=90.00
Fractional coordinates of all 6 atoms:
Ge 0.000 0.147 0.000
Ge 0.500 0.853 0.500
B 0.000 0.480 0.489
B 0.500 0.520 0.989
Pt 0.000 0.663 0.804
Pt 0.500 0.337 0.304

Main lines, sorted by position (2θ from 15° to 90°):
2θ/deg  I_rel
24.33  85
30.55  100
42.61  35
44.64  66
48.11  27
48.85  32